Record 1
Structure and simulated X-ray diffraction stick pattern of FeSbSe (a crystal structure in the Materials Project, relaxed with GGA-PBE; Cu Kα).
Kinematic intensities with the Lorentz-polarization factor, no thermal factor.

The 10 most intense peaks (2θ from 10° to 90°), most intense first:
d [Å]  I/Imax
2.595  100
2.646  89
1.970  51
1.755  34
2.865  28
1.437  24
2.988  20
1.710  17
2.620  15
1.127  14

Structure:
```
FeSbSe
1.0
6.254 0.000 0.000
0.000 6.131 0.000
-2.518 0.000 5.732
Fe Sb Se
4 4 4
Direct
0.208 0.008 0.202
0.208 0.492 0.702
0.792 0.508 0.298
0.792 0.992 0.798
0.357 0.638 0.125
0.357 0.862 0.625
0.643 0.138 0.375
0.643 0.362 0.875
0.146 0.141 0.829
0.146 0.359 0.329
0.854 0.641 0.671
0.854 0.859 0.171
```

***

Record 2
Structure and simulated X-ray diffraction stick pattern of Hf2ReNi (a crystal structure in the Materials Project, relaxed with GGA-PBE; Cu Kα).
Kinematic intensities with the Lorentz-polarization factor, no thermal factor.

The 10 most intense peaks (2θ from 10° to 90°), most intense first:
d [Å]  I/Imax
2.290  100
1.322  35
1.619  17
1.145  11
3.739  9
1.953  5
3.238  4
1.486  2
1.095  2
1.246  2

Structure:
```
Hf2ReNi
1.0
0.000 3.238 3.238
3.238 0.000 3.238
3.238 3.238 0.000
Hf Re Ni
2 1 1
Direct
0.250 0.250 0.250
0.750 0.750 0.750
0.000 0.000 0.000
0.500 0.500 0.500
```

***

Record 3
Structure and simulated X-ray diffraction stick pattern of LaTb3 (a crystal structure in the Materials Project, relaxed with GGA-PBE; Cu Kα).
Kinematic intensities with the Lorentz-polarization factor, no thermal factor.

The 10 most intense peaks (2θ from 10° to 90°), most intense first:
d [Å]  I/Imax
2.785  100
2.907  25
3.173  24
1.550  23
1.654  21
1.832  20
1.531  16
2.144  16
1.175  14
1.139  8

Structure:
```
LaTb3
1.0
7.328 0.000 0.000
-3.664 6.346 0.000
0.000 0.000 5.814
La Tb
2 6
Direct
0.333 0.667 0.250
0.667 0.333 0.750
0.165 0.330 0.750
0.165 0.835 0.750
0.330 0.165 0.250
0.670 0.835 0.750
0.835 0.165 0.250
0.835 0.670 0.250
```

***

Record 4
Structure and simulated X-ray diffraction stick pattern of MgTe4Mo2W2Se2S2 (a crystal structure in the Materials Project, relaxed with GGA-PBE; Cu Kα).
Kinematic intensities with the Lorentz-polarization factor, no thermal factor.

The 10 most intense peaks (2θ from 10° to 90°), most intense first:
d [Å]  I/Imax
2.245  100
2.610  85
2.944  54
2.466  46
1.701  40
7.510  40
2.800  32
2.103  27
1.671  23
2.173  21

Structure:
```
MgTe4Mo2W2Se2S2
1.0
3.401 0.000 0.000
-1.701 2.946 0.000
0.000 0.000 45.058
Mg Te Mo W Se S
1 4 2 2 2 2
Direct
0.000 0.000 0.000
0.333 0.667 0.229
0.333 0.667 0.312
0.667 0.333 0.665
0.667 0.333 0.748
0.333 0.667 0.088
0.333 0.667 0.707
0.667 0.333 0.270
0.667 0.333 0.888
0.333 0.667 0.851
0.333 0.667 0.925
0.667 0.333 0.054
0.667 0.333 0.121
```

***

Record 5
Structure and simulated X-ray diffraction stick pattern of Sr2Ti2As2OF2 (a crystal structure in the Materials Project, relaxed with GGA-PBE; Cu Kα).
Kinematic intensities with the Lorentz-polarization factor, no thermal factor.

The 10 most intense peaks (2θ from 10° to 90°), most intense first:
d [Å]  I/Imax
2.829  100
2.481  56
2.030  49
1.649  38
3.454  33
2.871  26
1.870  26
1.929  15
1.435  15
1.277  14

Structure:
```
Sr2Ti2As2OF2
1.0
-2.030 2.030 9.863
2.030 -2.030 9.863
2.030 2.030 -9.863
Sr Ti As O F
2 2 2 1 2
Direct
0.177 0.177 0.000
0.823 0.823 0.000
0.000 0.500 0.500
0.500 0.000 0.500
0.409 0.409 0.000
0.591 0.591 0.000
0.000 0.000 0.000
0.250 0.750 0.500
0.750 0.250 0.500
```